1.
Starting from a structure optimized by DFT (GGA-PBE), the PXRD pattern of Pr2Tm was calculated for Cu Kα, 1.54184 Å.
Peak positions follow from Bragg's law for the DFT cell and can differ from measured ones.

Structural model:
```
data_Pr2Tm
_cell_length_a 13.301
_cell_length_b 3.696
_cell_length_c 8.677
_cell_angle_alpha 90.00
_cell_angle_beta 103.99
_cell_angle_gamma 90.00
_space_group_name_H-M_alt 'C 1 2/m 1'
_space_group_IT_number 12
_space_group_name_Hall '-C 2y'
loop_
_atom_site_label
_atom_site_fract_x
_atom_site_fract_y
_atom_site_fract_z
Pr1 0.031 0.000 0.294
Pr2 0.193 0.500 0.641
Tm1 0.141 0.500 0.023
```

Top 12 peaks for 2θ = 5–70°, most intense first:
- hkl 3 1 0, 2θ 31.89, intensity 100
- hkl 4 0 -2, 2θ 30.56, intensity 29
- hkl 2 0 2, 2θ 27.92, intensity 28
- hkl 4 0 1, 2θ 32.02, intensity 20
- hkl 4 2 -2, 2θ 59.13, intensity 18
- hkl 3 1 3, 2θ 49.44, intensity 16
- hkl 4 2 1, 2θ 59.96, intensity 13
- hkl 5 1 -4, 2θ 55.10, intensity 12
- hkl 2 0 -4, 2θ 41.80, intensity 9
- hkl 7 1 1, 2θ 59.37, intensity 9
- hkl 7 1 -2, 2θ 55.23, intensity 8
- hkl 0 2 0, 2θ 49.31, intensity 8


2.
Starting from a structure optimized by DFT (GGA-PBE), the PXRD pattern of PrTm3 was calculated for Cu Kα, 1.54184 Å.
Peak positions follow from Bragg's law for the DFT cell and can differ from measured ones.

Structural model:
```
data_PrTm3
_cell_length_a 3.630
_cell_length_b 11.288
_cell_length_c 6.230
_cell_angle_alpha 90.00
_cell_angle_beta 90.00
_cell_angle_gamma 90.00
_space_group_name_H-M_alt 'I m m 2'
_space_group_IT_number 44
_space_group_name_Hall 'I 2 -2'
loop_
_atom_site_label
_atom_site_fract_x
_atom_site_fract_y
_atom_site_fract_z
Pr1 0.000 0.000 0.000
Tm1 0.000 0.247 0.660
Tm2 0.000 0.500 0.996
```

Top 12 peaks for 2θ = 5–70°, most intense first:
- hkl 1 2 1, 2θ 32.66, intensity 100
- hkl 0 2 2, 2θ 32.84, intensity 47
- hkl 0 4 0, 2θ 31.71, intensity 35
- hkl 1 0 1, 2θ 28.46, intensity 23
- hkl 1 4 3, 2θ 60.99, intensity 22
- hkl 1 6 1, 2θ 57.09, intensity 20
- hkl 1 0 3, 2θ 50.64, intensity 19
- hkl 2 2 2, 2θ 61.36, intensity 16
- hkl 1 4 1, 2θ 43.12, intensity 15
- hkl 0 0 2, 2θ 28.66, intensity 13
- hkl 2 4 0, 2θ 60.67, intensity 11
- hkl 2 0 0, 2θ 50.27, intensity 10


3.
Starting from a structure optimized by DFT (GGA-PBE), the PXRD pattern of Pr5Tm3 was calculated for Cu Kα, 1.54184 Å.
Peak positions follow from Bragg's law for the DFT cell and can differ from measured ones.

Structural model:
```
data_Pr5Tm3
_cell_length_a 7.353
_cell_length_b 11.684
_cell_length_c 12.729
_cell_angle_alpha 90.00
_cell_angle_beta 90.00
_cell_angle_gamma 90.00
_space_group_name_H-M_alt 'A m m 2'
_space_group_IT_number 38
_space_group_name_Hall 'A 2 -2'
loop_
_atom_site_label
_atom_site_fract_x
_atom_site_fract_y
_atom_site_fract_z
Pr1 0.000 0.000 0.000
Pr2 0.000 0.248 0.162
Pr3 0.252 0.248 0.414
Pr4 0.253 0.000 0.746
Pr5 0.500 0.000 0.495
Tm1 0.000 0.000 0.492
Tm2 0.254 0.000 0.247
Tm3 0.500 0.000 0.000
Tm4 0.500 0.242 0.163
```

Top 12 peaks for 2θ = 5–70°, most intense first:
- hkl 0 2 4, 2θ 32.02, intensity 100
- hkl 0 4 0, 2θ 30.61, intensity 25
- hkl 2 0 2, 2θ 28.03, intensity 24
- hkl 4 4 0, 2θ 59.42, intensity 23
- hkl 0 6 4, 2θ 55.30, intensity 21
- hkl 4 0 0, 2θ 49.60, intensity 20
- hkl 4 2 4, 2θ 60.27, intensity 16
- hkl 2 4 2, 2θ 41.98, intensity 16
- hkl 0 4 8, 2θ 66.96, intensity 4
- hkl 0 0 8, 2θ 57.94, intensity 3
- hkl 0 8 0, 2θ 63.72, intensity 3
- hkl 0 1 1, 2θ 10.28, intensity 1


4.
Starting from a structure optimized by DFT (GGA-PBE), the PXRD pattern of Pr3Tm13 was calculated for Cu Kα, 1.54184 Å.
Peak positions follow from Bragg's law for the DFT cell and can differ from measured ones.

Structural model:
```
data_Pr3Tm13
_cell_length_a 7.215
_cell_length_b 11.220
_cell_length_c 12.467
_cell_angle_alpha 90.00
_cell_angle_beta 90.00
_cell_angle_gamma 90.00
_space_group_name_H-M_alt 'A m m 2'
_space_group_IT_number 38
_space_group_name_Hall 'A 2 -2'
loop_
_atom_site_label
_atom_site_fract_x
_atom_site_fract_y
_atom_site_fract_z
Pr1 0.000 0.000 0.000
Pr2 0.253 0.000 0.746
Tm1 0.000 0.000 0.495
Tm2 0.000 0.248 0.165
Tm3 0.250 0.000 0.250
Tm4 0.251 0.246 0.416
Tm5 0.500 0.000 0.001
Tm6 0.500 0.000 0.495
Tm7 0.500 0.245 0.165
```

Top 12 peaks for 2θ = 5–70°, most intense first:
- hkl 2 2 2, 2θ 32.84, intensity 100
- hkl 0 0 4, 2θ 28.61, intensity 24
- hkl 0 4 0, 2θ 31.90, intensity 24
- hkl 4 4 0, 2θ 61.14, intensity 22
- hkl 2 6 2, 2θ 57.45, intensity 20
- hkl 0 4 4, 2θ 43.38, intensity 16
- hkl 2 0 6, 2θ 50.70, intensity 13
- hkl 4 2 4, 2θ 61.67, intensity 11
- hkl 4 0 0, 2θ 50.60, intensity 7
- hkl 0 2 8, 2θ 61.79, intensity 6
- hkl 0 8 0, 2θ 66.69, intensity 3
- hkl 4 4 4, 2θ 68.82, intensity 3


5.
Starting from a structure optimized by DFT (GGA-PBE), the PXRD pattern of Pr3Tm8 was calculated for Cu Kα, 1.54184 Å.
Peak positions follow from Bragg's law for the DFT cell and can differ from measured ones.

Structural model:
```
data_Pr3Tm8
_cell_length_a 3.5578
_cell_length_b 3.5578
_cell_length_c 94.8843
_cell_angle_alpha 90.00
_cell_angle_beta 90.00
_cell_angle_gamma 120.00
_space_group_name_H-M_alt 'R -3 m'
_space_group_IT_number 166
_space_group_name_Hall '-R 3 2"'
loop_
_atom_site_label
_atom_site_fract_x
_atom_site_fract_y
_atom_site_fract_z
Pr1 0.0000 0.0000 0.0000
Pr2 0.0000 0.0000 0.2717
Tm1 0.0000 0.0000 0.0926
Tm2 0.0000 0.0000 0.1815
Tm3 0.0000 0.0000 0.3641
Tm4 0.0000 0.0000 0.4555
```

Top 12 peaks for 2θ = 5–70°, most intense first:
- hkl 0 1 11, 2θ 30.82, intensity 100
- hkl 1 0 22, 2θ 35.82, intensity 66
- hkl 0 0 33, 2θ 31.10, intensity 31
- hkl 1 1 33, 2θ 61.28, intensity 27
- hkl 1 1 0, 2θ 51.36, intensity 24
- hkl 0 1 44, 2θ 51.74, intensity 22
- hkl 2 0 11, 2θ 61.11, intensity 14
- hkl 1 0 55, 2θ 61.61, intensity 13
- hkl 0 2 22, 2θ 64.20, intensity 12
- hkl 0 0 66, 2θ 64.86, intensity 3
- hkl 1 0 25, 2θ 37.60, intensity 1
- hkl 0 1 47, 2θ 54.33, intensity 1


6.
Starting from a structure optimized by DFT (GGA-PBE), the PXRD pattern of PrTm4 was calculated for Cu Kα, 1.54184 Å.
Peak positions follow from Bragg's law for the DFT cell and can differ from measured ones.

Structural model:
```
data_PrTm4
_cell_length_a 3.5498
_cell_length_b 3.5498
_cell_length_c 42.7082
_cell_angle_alpha 90.00
_cell_angle_beta 90.00
_cell_angle_gamma 120.00
_space_group_name_H-M_alt 'R -3 m'
_space_group_IT_number 166
_space_group_name_Hall '-R 3 2"'
loop_
_atom_site_label
_atom_site_fract_x
_atom_site_fract_y
_atom_site_fract_z
Pr1 0.0000 0.0000 0.0000
Tm1 0.0000 0.0000 0.1334
Tm2 0.0000 0.0000 0.4014
```

Top 12 peaks for 2θ = 5–70°, most intense first:
- hkl 1 0 7, 2θ 32.62, intensity 100
- hkl 0 1 8, 2θ 33.64, intensity 79
- hkl 1 0 4, 2θ 30.25, intensity 75
- hkl 0 0 15, 2θ 31.42, intensity 74
- hkl 1 1 15, 2θ 61.57, intensity 65
- hkl 1 1 0, 2θ 51.49, intensity 56
- hkl 0 1 11, 2θ 37.31, intensity 48
- hkl 0 1 5, 2θ 30.91, intensity 34
- hkl 1 0 22, 2θ 56.03, intensity 25
- hkl 1 0 10, 2θ 36.00, intensity 22
- hkl 0 1 2, 2θ 29.35, intensity 19
- hkl 1 0 19, 2θ 50.28, intensity 16


7.
Starting from a structure optimized by DFT (GGA-PBE), the PXRD pattern of Pr5Tm3 was calculated for Cu Kα, 1.54184 Å.
Peak positions follow from Bragg's law for the DFT cell and can differ from measured ones.

Structural model:
```
data_Pr5Tm3
_cell_length_a 3.652
_cell_length_b 3.652
_cell_length_c 20.351
_cell_angle_alpha 90.00
_cell_angle_beta 90.00
_cell_angle_gamma 90.00
_space_group_name_H-M_alt 'P 4/m m m'
_space_group_IT_number 123
_space_group_name_Hall '-P 4 2'
loop_
_atom_site_label
_atom_site_fract_x
_atom_site_fract_y
_atom_site_fract_z
Pr1 0.000 0.000 0.000
Pr2 0.000 0.000 0.246
Pr3 0.500 0.500 0.376
Tm1 0.000 0.000 0.500
Tm2 0.500 0.500 0.122
```

Top 10 peaks for 2θ = 5–70°, most intense first:
- hkl 1 0 4, 2θ 30.12, intensity 100
- hkl 1 1 0, 2θ 34.74, intensity 34
- hkl 2 1 4, 2θ 59.44, intensity 29
- hkl 1 1 8, 2θ 50.35, intensity 24
- hkl 0 0 8, 2θ 35.28, intensity 16
- hkl 1 0 12, 2θ 60.16, intensity 14
- hkl 2 0 0, 2θ 49.95, intensity 12
- hkl 2 0 8, 2θ 62.63, intensity 12
- hkl 0 0 3, 2θ 13.05, intensity 1
- hkl 0 0 2, 2θ 8.69, intensity 1


8.
Starting from a structure optimized by DFT (GGA-PBE), the PXRD pattern of Pr3Tm7 was calculated for Cu Kα, 1.54184 Å.
Peak positions follow from Bragg's law for the DFT cell and can differ from measured ones.

Structural model:
```
data_Pr3Tm7
_cell_length_a 18.151
_cell_length_b 5.028
_cell_length_c 7.113
_cell_angle_alpha 90.00
_cell_angle_beta 101.45
_cell_angle_gamma 90.00
_space_group_name_H-M_alt 'C 1 2/m 1'
_space_group_IT_number 12
_space_group_name_Hall '-C 2y'
loop_
_atom_site_label
_atom_site_fract_x
_atom_site_fract_y
_atom_site_fract_z
Pr1 0.000 0.000 0.000
Pr2 0.198 0.000 0.601
Tm1 0.000 0.000 0.500
Tm2 0.099 0.500 0.300
Tm3 0.100 0.500 0.802
Tm4 0.200 0.000 0.100
```

Top 6 peaks for 2θ = 5–70°, most intense first:
- hkl 5 1 0, 2θ 30.79, intensity 100
- hkl 4 0 2, 2θ 35.70, intensity 51
- hkl 4 2 2, 2θ 51.38, intensity 36
- hkl 5 3 0, 2θ 61.06, intensity 21
- hkl 3 1 4, 2θ 61.15, intensity 21
- hkl 2 2 -4, 2θ 64.14, intensity 12


9.
Starting from a structure optimized by DFT (GGA-PBE), the PXRD pattern of Pr4Tm5 was calculated for Cu Kα, 1.54184 Å.
Peak positions follow from Bragg's law for the DFT cell and can differ from measured ones.

Structural model:
```
data_Pr4Tm5
_cell_length_a 3.596
_cell_length_b 10.792
_cell_length_c 15.167
_cell_angle_alpha 90.00
_cell_angle_beta 90.00
_cell_angle_gamma 90.00
_space_group_name_H-M_alt 'I m m m'
_space_group_IT_number 71
_space_group_name_Hall '-I 2 2'
loop_
_atom_site_label
_atom_site_fract_x
_atom_site_fract_y
_atom_site_fract_z
Pr1 0.000 0.167 0.166
Tm1 0.000 0.163 0.500
Tm2 0.000 0.500 0.163
Tm3 0.000 0.500 0.500
```

Top 9 peaks for 2θ = 5–70°, most intense first:
- hkl 1 0 3, 2θ 30.50, intensity 100
- hkl 1 3 0, 2θ 35.29, intensity 34
- hkl 2 3 3, 2θ 60.39, intensity 29
- hkl 1 3 6, 2θ 50.93, intensity 24
- hkl 0 0 6, 2θ 35.51, intensity 17
- hkl 1 0 9, 2θ 60.69, intensity 14
- hkl 2 0 6, 2θ 63.48, intensity 12
- hkl 2 0 0, 2θ 50.77, intensity 12
- hkl 0 0 2, 2θ 11.67, intensity 1


10.
Starting from a structure optimized by DFT (GGA-PBE), the PXRD pattern of PrY6Tm5 was calculated for Cu Kα, 1.54184 Å.
Peak positions follow from Bragg's law for the DFT cell and can differ from measured ones.

Structural model:
```
data_PrY6Tm5
_cell_length_a 6.147
_cell_length_b 10.635
_cell_length_c 11.770
_cell_angle_alpha 90.00
_cell_angle_beta 99.99
_cell_angle_gamma 90.00
_space_group_name_H-M_alt 'C 1 2/m 1'
_space_group_IT_number 12
_space_group_name_Hall '-C 2y'
loop_
_atom_site_label
_atom_site_fract_x
_atom_site_fract_y
_atom_site_fract_z
Pr1 0.000 0.000 0.000
Y1 0.249 0.333 0.748
Y2 0.250 0.000 0.748
Tm1 0.000 0.167 0.500
Tm2 0.000 0.333 0.000
Tm3 0.000 0.500 0.500
```

Top 12 peaks for 2θ = 5–70°, most intense first:
- hkl 1 3 1, 2θ 30.87, intensity 100
- hkl 2 0 2, 2θ 35.79, intensity 50
- hkl 1 3 5, 2θ 51.52, intensity 35
- hkl 0 6 4, 2θ 61.29, intensity 28
- hkl 4 0 0, 2θ 61.25, intensity 14
- hkl 2 6 2, 2θ 64.32, intensity 12
- hkl 0 0 2, 2θ 15.29, intensity 10
- hkl 2 0 0, 2θ 29.53, intensity 7
- hkl 1 3 3, 2θ 39.13, intensity 3
- hkl 3 3 1, 2θ 54.08, intensity 3
- hkl 0 0 6, 2θ 47.05, intensity 3
- hkl 1 3 7, 2θ 66.54, intensity 2


11.
Starting from a structure optimized by DFT (GGA-PBE), the PXRD pattern of Pr5Y6Tm2 was calculated for Cu Kα, 1.54184 Å.
Peak positions follow from Bragg's law for the DFT cell and can differ from measured ones.

Structural model:
```
data_Pr5Y6Tm2
_cell_length_a 11.737
_cell_length_b 20.735
_cell_length_c 3.622
_cell_angle_alpha 90.00
_cell_angle_beta 90.00
_cell_angle_gamma 90.00
_space_group_name_H-M_alt 'P b a m'
_space_group_IT_number 55
_space_group_name_Hall '-P 2 2ab'
loop_
_atom_site_label
_atom_site_fract_x
_atom_site_fract_y
_atom_site_fract_z
Pr1 0.000 0.000 0.000
Pr2 0.084 0.272 0.000
Pr3 0.199 0.551 0.000
Y1 0.061 0.418 0.500
Y2 0.082 0.131 0.500
Y3 0.175 0.860 0.000
Tm1 0.170 0.710 0.500
```

Top 12 peaks for 2θ = 5–70°, most intense first:
- hkl 1 7 0, 2θ 31.10, intensity 100
- hkl 2 3 1, 2θ 31.77, intensity 88
- hkl 4 1 0, 2θ 30.77, intensity 51
- hkl 2 4 1, 2θ 33.85, intensity 33
- hkl 3 3 1, 2θ 36.21, intensity 32
- hkl 1 6 0, 2θ 26.89, intensity 19
- hkl 0 0 2, 2θ 50.39, intensity 17
- hkl 3 5 0, 2θ 31.44, intensity 17
- hkl 2 2 1, 2θ 30.25, intensity 16
- hkl 4 1 2, 2θ 60.21, intensity 16
- hkl 6 4 1, 2θ 56.30, intensity 15
- hkl 6 2 1, 2θ 54.00, intensity 15


12.
Starting from a structure optimized by DFT (GGA-PBE), the PXRD pattern of PrY5Tm5 was calculated for Cu Kα, 1.54184 Å.
Peak positions follow from Bragg's law for the DFT cell and can differ from measured ones.

Structural model:
```
data_PrY5Tm5
_cell_length_a 18.855
_cell_length_b 5.890
_cell_length_c 6.931
_cell_angle_alpha 90.00
_cell_angle_beta 111.10
_cell_angle_gamma 90.00
_space_group_name_H-M_alt 'C 1 2/m 1'
_space_group_IT_number 12
_space_group_name_Hall '-C 2y'
loop_
_atom_site_label
_atom_site_fract_x
_atom_site_fract_y
_atom_site_fract_z
Pr1 0.000 0.000 0.000
Y1 0.000 0.500 0.000
Y2 0.180 0.000 0.427
Y3 0.180 0.000 0.934
Tm1 0.000 0.000 0.500
Tm2 0.124 0.500 0.626
Tm3 0.169 0.500 0.171
```

Top 12 peaks for 2θ = 5–70°, most intense first:
- hkl 0 2 0, 2θ 30.35, intensity 100
- hkl 1 1 2, 2θ 33.58, intensity 79
- hkl 5 1 -2, 2θ 33.77, intensity 76
- hkl 6 0 0, 2θ 30.49, intensity 42
- hkl 3 1 0, 2θ 21.38, intensity 34
- hkl 6 2 0, 2θ 43.56, intensity 32
- hkl 2 0 -2, 2θ 25.71, intensity 30
- hkl 5 1 0, 2θ 29.58, intensity 28
- hkl 1 3 2, 2θ 56.02, intensity 23
- hkl 2 2 -2, 2θ 40.18, intensity 22
- hkl 4 0 1, 2θ 28.35, intensity 21
- hkl 4 2 -4, 2θ 62.16, intensity 21


13.
Starting from a structure optimized by DFT (GGA-PBE), the PXRD pattern of Pr3Y4Tm5 was calculated for Cu Kα, 1.54184 Å.
Peak positions follow from Bragg's law for the DFT cell and can differ from measured ones.

Structural model:
```
data_Pr3Y4Tm5
_cell_length_a 15.922
_cell_length_b 5.945
_cell_length_c 9.332
_cell_angle_alpha 90.00
_cell_angle_beta 116.45
_cell_angle_gamma 90.00
_space_group_name_H-M_alt 'C 1 2/m 1'
_space_group_IT_number 12
_space_group_name_Hall '-C 2y'
loop_
_atom_site_label
_atom_site_fract_x
_atom_site_fract_y
_atom_site_fract_z
Pr1 0.000 0.000 0.000
Pr2 0.211 0.500 0.237
Y1 0.082 0.500 0.442
Y2 0.207 0.500 0.879
Tm1 0.000 0.500 0.000
Tm2 0.072 0.000 0.695
Tm3 0.171 0.000 0.384
```

Top 12 peaks for 2θ = 5–70°, most intense first:
- hkl 0 2 0, 2θ 30.06, intensity 100
- hkl 5 1 -2, 2θ 32.77, intensity 88
- hkl 1 1 -3, 2θ 33.49, intensity 66
- hkl 5 1 -1, 2θ 32.05, intensity 54
- hkl 4 0 1, 2θ 31.37, intensity 46
- hkl 4 2 1, 2θ 44.00, intensity 38
- hkl 4 0 -2, 2θ 24.57, intensity 28
- hkl 2 0 -3, 2θ 28.75, intensity 27
- hkl 3 1 1, 2θ 29.54, intensity 27
- hkl 5 3 -1, 2θ 54.62, intensity 25
- hkl 2 0 2, 2θ 29.20, intensity 21
- hkl 5 3 -2, 2θ 55.12, intensity 20